# 1
The following is a theoretical powder diffraction line list of CoHgGe2O6. It was derived from a GGA+U-relaxed structure, using Cu Kα (λ = 1.5418 Å).
Peak positions follow from Bragg's law for the DFT cell and can differ from measured ones.

Top 10 peaks for 5 to 70 degrees two-theta, most intense first:
- 2θ = 26.69°, intensity 100
- 2θ = 33.68°, intensity 80
- 2θ = 12.51°, intensity 72
- 2θ = 28.56°, intensity 64
- 2θ = 30.97°, intensity 53
- 2θ = 51.82°, intensity 32
- 2θ = 34.21°, intensity 29
- 2θ = 51.35°, intensity 24
- 2θ = 40.73°, intensity 22
- 2θ = 18.00°, intensity 21

Structure:
Cell: 7.294 7.294 5.643 Å, 103.93 103.93 88.36°
Positions (direct):
Co 0.249 0.751 0.750
Co 0.751 0.249 0.250
Hg 0.395 0.605 0.250
Hg 0.605 0.395 0.750
Ge 0.117 0.288 0.722
Ge 0.288 0.117 0.222
Ge 0.712 0.883 0.778
Ge 0.883 0.712 0.278
O 0.110 0.192 0.985
O 0.112 0.649 0.407
O 0.192 0.110 0.485
O 0.282 0.483 0.830
O 0.351 0.888 0.093
O 0.483 0.282 0.330
O 0.517 0.718 0.670
O 0.649 0.112 0.907
O 0.718 0.517 0.170
O 0.808 0.890 0.515
O 0.888 0.351 0.593
O 0.890 0.808 0.015


# 2
The following is a theoretical powder diffraction line list of EuZrCrBiO6. It was derived from a GGA+U-relaxed structure, using Cu Kα (λ = 1.5418 Å).
Peak positions follow from Bragg's law for the DFT cell and can differ from measured ones.

Top 10 peaks for 5 to 70 degrees two-theta, most intense first:
- 2θ = 31.27°, intensity 100
- 2θ = 55.65°, intensity 40
- 2θ = 44.80°, intensity 30
- 2θ = 65.23°, intensity 18
- 2θ = 38.54°, intensity 16
- 2θ = 21.97°, intensity 15
- 2θ = 50.44°, intensity 9
- 2θ = 69.73°, intensity 5
- 2θ = 19.00°, intensity 4
- 2θ = 36.84°, intensity 3

Structure:
Cell: 5.721 5.721 5.721 Å, 60.00 60.00 60.00°
Positions (direct):
Eu 0.000 0.000 0.000
Zr 0.250 0.250 0.250
Cr 0.750 0.750 0.750
Bi 0.500 0.500 0.500
O 0.507 0.507 0.993
O 0.507 0.993 0.507
O 0.507 0.993 0.993
O 0.993 0.507 0.507
O 0.993 0.507 0.993
O 0.993 0.993 0.507